MnPtN2: simulated XRD peak list (Cu Kα X-rays), based on a DFT-relaxed cell (GGA-PBE, the Materials Project).
Neutral-atom scattering factors, no anomalous dispersion.

Peak list (12 most intense, 5° ≤ 2θ ≤ 70°, most intense first)
| hkl | two_theta | I (rel.) |
| --- | --- | --- |
| 0 1 1 | 21.5 | 100 |
| 1 2 1 | 37.7 | 94 |
| 2 0 1 | 38.4 | 82 |
| 0 0 2 | 32.1 | 64 |
| 1 2 0 | 33.9 | 59 |
| 1 2 2 | 47.4 | 33 |
| 2 1 2 | 50.4 | 32 |
| 2 1 0 | 37.8 | 29 |
| 1 1 1 | 27.6 | 22 |
| 1 2 3 | 61.0 | 21 |
| 1 3 1 | 50.6 | 20 |
| 2 0 3 | 61.5 | 19 |

Structure:
Cell: 5.1663 6.1544 5.5728 Å, 90.00 90.00 90.00°
Space group Pna2_1 (No. 33)
Asymmetric unit:
Mn 0.0779 0.1014 0.0000 [4 per cell]
Pt 0.1201 0.6530 0.0698 [4 per cell]
N 0.0777 0.1172 0.3297 [4 per cell]
N 0.0781 0.6344 0.4420 [4 per cell]

***

RbMnN: simulated XRD peak list (Cu Kα X-rays), based on a DFT-relaxed cell (GGA-PBE, the Materials Project).
Neutral-atom scattering factors, no anomalous dispersion.

Peak list (12 most intense, 5° ≤ 2θ ≤ 70°, most intense first)
| hkl | two_theta | I (rel.) |
| --- | --- | --- |
| 3 0 1 | 28.0 | 100 |
| 1 1 1 | 29.1 | 49 |
| 2 1 0 | 29.8 | 41 |
| 1 0 2 | 27.1 | 34 |
| 1 1 2 | 36.9 | 30 |
| 2 1 3 | 49.8 | 25 |
| 0 0 2 | 25.7 | 22 |
| 3 2 1 | 58.7 | 22 |
| 5 1 1 | 51.1 | 20 |
| 2 1 2 | 39.7 | 17 |
| 4 0 3 | 52.2 | 15 |
| 0 2 0 | 50.5 | 14 |

Structure:
Cell: 10.7723 3.6142 6.9247 Å, 90.00 90.00 90.00°
Space group Pnma (No. 62)
Asymmetric unit:
Rb 0.1725 0.2500 0.0637 [4 per cell]
Mn 0.0310 0.2500 0.5991 [4 per cell]
N 0.0457 0.7500 0.6480 [4 per cell]

***

MnReN2: simulated XRD peak list (Cu Kα X-rays), based on a DFT-relaxed cell (GGA-PBE, the Materials Project).
Neutral-atom scattering factors, no anomalous dispersion.

Peak list (12 most intense, 5° ≤ 2θ ≤ 70°, most intense first)
| hkl | two_theta | I (rel.) |
| --- | --- | --- |
| 0 1 1 | 22.1 | 100 |
| 1 2 1 | 38.4 | 84 |
| 2 0 1 | 39.2 | 62 |
| 1 2 0 | 34.4 | 38 |
| 0 0 2 | 33.3 | 38 |
| 2 1 2 | 51.7 | 34 |
| 0 1 3 | 53.2 | 21 |
| 3 2 0 | 62.8 | 20 |
| 1 3 1 | 51.5 | 17 |
| 1 2 2 | 48.6 | 16 |
| 1 3 2 | 60.0 | 16 |
| 2 2 1 | 49.7 | 14 |

Structure:
Cell: 5.0880 6.0724 5.3884 Å, 90.00 90.00 90.00°
Space group Pna2_1 (No. 33)
Asymmetric unit:
Mn 0.0726 0.1136 0.0000 [4 per cell]
Re 0.1194 0.6716 0.1132 [4 per cell]
N 0.0590 0.5873 0.4661 [4 per cell]
N 0.0801 0.1353 0.3609 [4 per cell]

***

MnRhN2: simulated XRD peak list (Cu Kα X-rays), based on a DFT-relaxed cell (GGA-PBE, the Materials Project).
Neutral-atom scattering factors, no anomalous dispersion.

Peak list (12 most intense, 5° ≤ 2θ ≤ 70°, most intense first)
| hkl | two_theta | I (rel.) |
| --- | --- | --- |
| 1 2 1 | 38.5 | 100 |
| 2 0 1 | 39.0 | 77 |
| 0 0 2 | 32.7 | 69 |
| 1 2 0 | 34.7 | 62 |
| 0 1 1 | 22.0 | 52 |
| 1 2 2 | 48.5 | 31 |
| 2 1 2 | 51.3 | 25 |
| 1 2 3 | 62.3 | 21 |
| 3 2 0 | 62.9 | 21 |
| 0 1 3 | 52.4 | 17 |
| 2 1 0 | 38.4 | 17 |
| 2 0 3 | 62.6 | 17 |

Structure:
Cell: 5.0958 5.9903 5.4775 Å, 90.00 90.00 90.00°
Space group Pna2_1 (No. 33)
Asymmetric unit:
Mn 0.0670 0.1123 0.0000 [4 per cell]
Rh 0.1209 0.6587 0.0740 [4 per cell]
N 0.0737 0.1270 0.3386 [4 per cell]
N 0.0831 0.6168 0.4470 [4 per cell]